(1)
For Ac2In2Sn4Rh, a crystal structure in Alexandria, relaxed with PBE gives the simulated X-ray diffraction stick pattern in this record (Cu Kα (λ = 1.5418 Å)).
No peak broadening, texture or thermal motion is included.

Structural model:
a = 7.0009 Å, b = 7.0009 Å, c = 7.0009 Å
α = 118.47°, β = 118.47°, γ = 92.66°
Fractional positions:
Ac (0.2500, 0.7500, 0.5000)
Ac (0.7500, 0.2500, 0.5000)
In (0.2203, 0.2203, 0.0000)
In (0.7797, 0.7797, 0.0000)
Sn (0.2326, 0.2326, 0.4652)
Sn (0.2326, 0.7674, 0.0000)
Sn (0.7674, 0.2326, 0.0000)
Sn (0.7674, 0.7674, 0.5348)
Rh (0.5000, 0.5000, 0.0000)

Most intense lines, 2θ = 5–70°, low angle first:
25.47°, 3.497 Å, rel. 17
31.08°, 2.877 Å, rel. 100
35.45°, 2.532 Å, rel. 52
37.20°, 2.417 Å, rel. 21
51.01°, 1.790 Å, rel. 18
52.33°, 1.748 Å, rel. 31
60.95°, 1.520 Å, rel. 28
64.80°, 1.439 Å, rel. 16

---

(2)
For Ac2ZnInRh6, a crystal structure in Alexandria, relaxed with PBE gives the simulated X-ray diffraction stick pattern in this record (Cu Kα (λ = 1.5418 Å)).
No peak broadening, texture or thermal motion is included.

Structural model:
a = 5.6375 Å, b = 6.5083 Å, c = 6.6770 Å
α = 72.35°, β = 65.14°, γ = 64.47°
Fractional positions:
Ac (0.0132, 0.2304, 0.2429)
Ac (0.9868, 0.7696, 0.7571)
Zn (0.5000, 0.0000, 0.5000)
In (0.5000, 0.5000, 0.0000)
Rh (0.0096, 0.2009, 0.7928)
Rh (0.2977, 0.4517, 0.4571)
Rh (0.4969, 0.1995, 0.7937)
Rh (0.5031, 0.8005, 0.2063)
Rh (0.7023, 0.5483, 0.5429)
Rh (0.9904, 0.7991, 0.2072)

Most intense lines, 2θ = 5–70°, low angle first:
29.35°, 3.043 Å, rel. 81
29.84°, 2.994 Å, rel. 100
37.61°, 2.392 Å, rel. 99
39.48°, 2.282 Å, rel. 76
39.89°, 2.260 Å, rel. 69
40.58°, 2.223 Å, rel. 66
41.69°, 2.166 Å, rel. 57
46.70°, 1.945 Å, rel. 35

---

(3)
For Ac6In3Ru, a crystal structure in Alexandria, relaxed with PBE gives the simulated X-ray diffraction stick pattern in this record (Cu Kα (λ = 1.5418 Å)).
No peak broadening, texture or thermal motion is included.

Structural model:
a = 9.2054 Å, b = 9.2054 Å, c = 9.2054 Å
α = 92.97°, β = 92.97°, γ = 92.97°
Fractional positions:
Ac (0.0480, 0.9224, 0.6952)
Ac (0.0776, 0.3048, 0.9520)
Ac (0.1952, 0.4224, 0.5480)
Ac (0.3048, 0.9520, 0.0776)
Ac (0.4224, 0.5480, 0.1952)
Ac (0.4520, 0.8048, 0.5776)
Ac (0.5480, 0.1952, 0.4224)
Ac (0.5776, 0.4520, 0.8048)
Ac (0.6952, 0.0480, 0.9224)
Ac (0.8048, 0.5776, 0.4520)
Ac (0.9224, 0.6952, 0.0480)
Ac (0.9520, 0.0776, 0.3048)
In (0.1406, 0.7500, 0.3594)
In (0.2500, 0.6406, 0.8594)
In (0.3594, 0.1406, 0.7500)
In (0.6406, 0.8594, 0.2500)
In (0.7500, 0.3594, 0.1406)
In (0.8594, 0.2500, 0.6406)
Ru (0.0000, 0.0000, 0.0000)
Ru (0.5000, 0.5000, 0.5000)

Most intense lines, 2θ = 5–70°, low angle first:
14.01°, 6.320 Å, rel. 22
21.16°, 4.198 Å, rel. 23
24.82°, 3.588 Å, rel. 46
26.71°, 3.338 Å, rel. 19
28.45°, 3.137 Å, rel. 81
30.28°, 2.952 Å, rel. 34
31.32°, 2.856 Å, rel. 42
32.18°, 2.782 Å, rel. 100

---

(4)
For Ac8In3Ru, a crystal structure in Alexandria, relaxed with PBE gives the simulated X-ray diffraction stick pattern in this record (Cu Kα (λ = 1.5418 Å)).
No peak broadening, texture or thermal motion is included.

Structural model:
a = 9.6192 Å, b = 9.6192 Å, c = 9.6192 Å
α = 131.85°, β = 131.85°, γ = 70.47°
Fractional positions:
Ac (0.1192, 0.1192, 0.4751)
Ac (0.1192, 0.6441, 0.0000)
Ac (0.3559, 0.3559, 0.4751)
Ac (0.3559, 0.8808, 0.0000)
Ac (0.6441, 0.1192, 0.0000)
Ac (0.6441, 0.6441, 0.5249)
Ac (0.8808, 0.3559, 0.0000)
Ac (0.8808, 0.8808, 0.5249)
In (0.2500, 0.7500, 0.5000)
In (0.5000, 0.5000, 0.0000)
In (0.7500, 0.2500, 0.5000)
Ru (0.0000, 0.0000, 0.0000)

Most intense lines, 2θ = 5–70°, low angle first:
19.58°, 4.533 Å, rel. 10
22.65°, 3.926 Å, rel. 41
32.25°, 2.776 Å, rel. 100
39.77°, 2.266 Å, rel. 13
46.25°, 1.963 Å, rel. 18
52.10°, 1.756 Å, rel. 17
57.51°, 1.603 Å, rel. 36
67.49°, 1.388 Å, rel. 11

---

(5)
For Ac5InRu2, a crystal structure in Alexandria, relaxed with PBE gives the simulated X-ray diffraction stick pattern in this record (Cu Kα (λ = 1.5418 Å)).
No peak broadening, texture or thermal motion is included.

Structural model:
a = 9.5509 Å, b = 9.5509 Å, c = 9.5509 Å
α = 128.11°, β = 128.11°, γ = 76.44°
Fractional positions:
Ac (0.0000, 0.0000, 0.0000)
Ac (0.0320, 0.5320, 0.8228)
Ac (0.2092, 0.0320, 0.5000)
Ac (0.2908, 0.7908, 0.8228)
Ac (0.4680, 0.2908, 0.5000)
Ac (0.5000, 0.5000, 0.0000)
Ac (0.5320, 0.7092, 0.5000)
Ac (0.7092, 0.2092, 0.1772)
Ac (0.7908, 0.9680, 0.5000)
Ac (0.9680, 0.4680, 0.1772)
In (0.2500, 0.2500, 0.0000)
In (0.7500, 0.7500, 0.0000)
Ru (0.1409, 0.3591, 0.5000)
Ru (0.3591, 0.8591, 0.2183)
Ru (0.6409, 0.1409, 0.7817)
Ru (0.8591, 0.6409, 0.5000)

Most intense lines, 2θ = 5–70°, low angle first:
24.55°, 3.626 Å, rel. 33
28.17°, 3.167 Å, rel. 32
29.84°, 2.994 Å, rel. 100
32.06°, 2.792 Å, rel. 43
33.92°, 2.643 Å, rel. 67
38.47°, 2.340 Å, rel. 36
48.49°, 1.877 Å, rel. 30
52.47°, 1.744 Å, rel. 26

---

(6)
For Ac5In2Ru2, a crystal structure in Alexandria, relaxed with PBE gives the simulated X-ray diffraction stick pattern in this record (Cu Kα (λ = 1.5418 Å)).
No peak broadening, texture or thermal motion is included.

Structural model:
a = 8.3560 Å, b = 10.2729 Å, c = 7.0140 Å
α = 90.00°, β = 98.96°, γ = 90.00°
Fractional positions:
Ac (0.0000, 0.0000, 0.0000)
Ac (0.0000, 0.5000, 0.5000)
Ac (0.2112, 0.1396, 0.5870)
Ac (0.2112, 0.3604, 0.0870)
Ac (0.3187, 0.7086, 0.9715)
Ac (0.3187, 0.7914, 0.4715)
Ac (0.6813, 0.2086, 0.5285)
Ac (0.6813, 0.2914, 0.0285)
Ac (0.7888, 0.6396, 0.9130)
Ac (0.7888, 0.8604, 0.4130)
In (0.4213, 0.0454, 0.1613)
In (0.4213, 0.4546, 0.6613)
In (0.5787, 0.5454, 0.3387)
In (0.5787, 0.9546, 0.8387)
Ru (0.0361, 0.7468, 0.1957)
Ru (0.0361, 0.7532, 0.6957)
Ru (0.9639, 0.2468, 0.3043)
Ru (0.9639, 0.2532, 0.8043)

Most intense lines, 2θ = 5–70°, low angle first:
27.73°, 3.217 Å, rel. 18
28.21°, 3.163 Å, rel. 85
29.11°, 3.068 Å, rel. 100
31.64°, 2.828 Å, rel. 30
32.24°, 2.776 Å, rel. 48
34.31°, 2.614 Å, rel. 26
40.52°, 2.227 Å, rel. 26
44.80°, 2.023 Å, rel. 20

---

(7)
For AcTmInRu, a crystal structure in Alexandria, relaxed with PBE gives the simulated X-ray diffraction stick pattern in this record (Cu Kα (λ = 1.5418 Å)).
No peak broadening, texture or thermal motion is included.

Structural model:
a = 7.4500 Å, b = 7.4500 Å, c = 7.4500 Å
α = 90.00°, β = 90.00°, γ = 90.00°
Fractional positions:
Ac (0.0000, 0.0000, 0.0000)
Ac (0.0000, 0.5000, 0.5000)
Ac (0.5000, 0.0000, 0.5000)
Ac (0.5000, 0.5000, 0.0000)
Tm (0.0000, 0.0000, 0.5000)
Tm (0.0000, 0.5000, 0.0000)
Tm (0.5000, 0.0000, 0.0000)
Tm (0.5000, 0.5000, 0.5000)
In (0.2500, 0.2500, 0.7500)
In (0.2500, 0.7500, 0.2500)
In (0.7500, 0.2500, 0.2500)
In (0.7500, 0.7500, 0.7500)
Ru (0.2500, 0.2500, 0.2500)
Ru (0.2500, 0.7500, 0.7500)
Ru (0.7500, 0.2500, 0.7500)
Ru (0.7500, 0.7500, 0.2500)

Most intense lines, 2θ = 5–70°, low angle first:
20.65°, 4.301 Å, rel. 2
23.89°, 3.725 Å, rel. 9
34.04°, 2.634 Å, rel. 100
40.14°, 2.246 Å, rel. 1
42.01°, 2.151 Å, rel. 3
48.90°, 1.862 Å, rel. 18
55.13°, 1.666 Å, rel. 4
60.92°, 1.521 Å, rel. 37

---

(8)
For AcInSb3, a crystal structure in Alexandria, relaxed with PBE gives the simulated X-ray diffraction stick pattern in this record (Cu Kα (λ = 1.5418 Å)).
No peak broadening, texture or thermal motion is included.

Structural model:
a = 15.4546 Å, b = 6.4087 Å, c = 6.5203 Å
α = 90.00°, β = 90.00°, γ = 90.00°
Fractional positions:
Ac (0.1724, 0.0040, 0.2500)
Ac (0.1724, 0.4960, 0.7500)
Ac (0.8276, 0.5040, 0.2500)
Ac (0.8276, 0.9960, 0.7500)
In (0.3992, 0.7500, 0.0000)
In (0.3992, 0.7500, 0.5000)
In (0.6008, 0.2500, 0.0000)
In (0.6008, 0.2500, 0.5000)
Sb (0.0021, 0.7500, 0.0000)
Sb (0.0021, 0.7500, 0.5000)
Sb (0.2346, 0.0004, 0.7500)
Sb (0.2346, 0.4996, 0.2500)
Sb (0.3920, 0.2467, 0.7500)
Sb (0.3920, 0.2533, 0.2500)
Sb (0.6080, 0.7467, 0.7500)
Sb (0.6080, 0.7533, 0.2500)
Sb (0.7654, 0.9996, 0.2500)
Sb (0.7654, 0.5004, 0.7500)
Sb (0.9979, 0.2500, 0.0000)
Sb (0.9979, 0.2500, 0.5000)

Most intense lines, 2θ = 5–70°, low angle first:
22.60°, 3.934 Å, rel. 42
28.89°, 3.091 Å, rel. 68
29.74°, 3.004 Å, rel. 57
30.21°, 2.958 Å, rel. 91
32.50°, 2.755 Å, rel. 42
32.92°, 2.721 Å, rel. 100
35.05°, 2.560 Å, rel. 40
39.43°, 2.285 Å, rel. 41